This entry pairs a crystal structure of Li7CdPd2 with its simulated powder X-ray diffraction pattern. Radiation: λ = 1.5418 Å (Cu Kα). Structure: DFT lattice parameters and positions (PBE).

```
data_Li7CdPd2
_chemical_formula_sum 'Li14 Cd2 Pd4'
_cell_length_a 5.0184
_cell_length_b 23.2456
_cell_length_c 2.7987
_cell_angle_alpha 90.00
_cell_angle_beta 90.00
_cell_angle_gamma 90.00
_space_group_name_H-M_alt 'C m m m'
_space_group_IT_number 65
_space_group_name_Hall '-C 2 2'
loop_
_atom_site_label
_atom_site_type_symbol
_atom_site_fract_x
_atom_site_fract_y
_atom_site_fract_z
Li1 Li 0.0000 0.0000 0.0000
Li2 Li 0.0000 0.2903 0.5000
Li3 Li 0.2487 0.3962 0.0000
Cd1 Cd 0.0000 0.5000 0.5000
Pd1 Pd 0.0000 0.1958 0.0000
```

The 10 most intense peaks (10 to 90 degrees two-theta), sorted by position:
- d = 5.811 Å, 15.2°, intensity 29
- d = 4.212 Å, 21.1°, intensity 100
- d = 3.874 Å, 23.0°, intensity 20
- d = 2.769 Å, 32.3°, intensity 25
- d = 2.721 Å, 32.9°, intensity 27
- d = 2.509 Å, 35.8°, intensity 17
- d = 2.431 Å, 37.0°, intensity 22
- d = 2.325 Å, 38.7°, intensity 16
- d = 2.164 Å, 41.7°, intensity 48
- d = 1.845 Å, 49.4°, intensity 18



This entry pairs a crystal structure of PmVGe3 with its simulated powder X-ray diffraction pattern. Radiation: λ = 1.5418 Å (Cu Kα). Structure: DFT lattice parameters and positions (PBE).

```
data_PmVGe3
_chemical_formula_sum 'Pm2 V2 Ge6'
_cell_length_a 6.2499
_cell_length_b 6.2499
_cell_length_c 5.5948
_cell_angle_alpha 90.00
_cell_angle_beta 90.00
_cell_angle_gamma 120.00
_space_group_name_H-M_alt 'P 63/m m c'
_space_group_IT_number 194
_space_group_name_Hall '-P 6c 2c'
loop_
_atom_site_label
_atom_site_type_symbol
_atom_site_fract_x
_atom_site_fract_y
_atom_site_fract_z
Pm1 Pm 0.3333 0.6667 0.2500
V1 V 0.0000 0.0000 0.0000
Ge1 Ge 0.1951 0.3901 0.7500
```

The 10 most intense peaks (10 to 90 degrees two-theta), sorted by position:
- d = 3.125 Å, 28.6°, intensity 23
- d = 2.797 Å, 32.0°, intensity 29
- d = 2.706 Å, 33.1°, intensity 12
- d = 2.485 Å, 36.1°, intensity 20
- d = 2.436 Å, 36.9°, intensity 100
- d = 1.945 Å, 46.7°, intensity 29
- d = 1.921 Å, 47.3°, intensity 16
- d = 1.562 Å, 59.1°, intensity 17
- d = 1.536 Å, 60.3°, intensity 24
- d = 1.364 Å, 68.8°, intensity 11



This entry pairs a crystal structure of H7Pd3Pt with its simulated powder X-ray diffraction pattern. Radiation: λ = 1.5418 Å (Cu Kα). Structure: DFT lattice parameters and positions (PBE).

```
data_H7Pd3Pt
_chemical_formula_sum 'H28 Pd12 Pt4'
_cell_length_a 6.4470
_cell_length_b 8.8288
_cell_length_c 6.1661
_cell_angle_alpha 90.00
_cell_angle_beta 90.00
_cell_angle_gamma 90.00
_space_group_name_H-M_alt 'C m c m'
_space_group_IT_number 63
_space_group_name_Hall '-C 2c 2'
loop_
_atom_site_label
_atom_site_type_symbol
_atom_site_fract_x
_atom_site_fract_y
_atom_site_fract_z
H1 H 0.0000 0.0975 0.2500
H2 H 0.0000 0.3644 0.7500
H3 H 0.0000 0.3689 0.2500
H4 H 0.2193 0.1237 0.5170
Pd1 Pd 0.0000 0.5000 0.0000
Pd2 Pd 0.2498 0.2502 0.2500
Pt1 Pt 0.0000 0.0000 0.0000
```

The 10 most intense peaks (10 to 90 degrees two-theta), sorted by position:
- d = 5.207 Å, 17.0°, intensity 13
- d = 2.603 Å, 34.5°, intensity 100
- d = 2.528 Å, 35.5°, intensity 92
- d = 2.228 Å, 40.5°, intensity 62
- d = 2.207 Å, 40.9°, intensity 30
- d = 1.612 Å, 57.2°, intensity 12
- d = 1.568 Å, 58.9°, intensity 43
- d = 1.359 Å, 69.1°, intensity 26
- d = 1.339 Å, 70.3°, intensity 12
- d = 1.327 Å, 71.0°, intensity 36



This entry pairs a crystal structure of Na8B11C5 with its simulated powder X-ray diffraction pattern. Radiation: λ = 1.5418 Å (Cu Kα). Structure: DFT lattice parameters and positions (PBE).

```
data_Na8B11C5
_chemical_formula_sum 'Na8 B11 C5'
_cell_length_a 2.8021
_cell_length_b 8.5891
_cell_length_c 10.3113
_cell_angle_alpha 90.00
_cell_angle_beta 90.00
_cell_angle_gamma 90.00
_space_group_name_H-M_alt 'P m m 2'
_space_group_IT_number 25
loop_
_space_group_symop_operation_xyz
'x,y,z'
'-x,-y,z'
'-x,y,z'
'x,-y,z'
loop_
_atom_site_label
_atom_site_type_symbol
_atom_site_fract_x
_atom_site_fract_y
_atom_site_fract_z
Na1 Na 0.0000 0.2473 0.0000
Na2 Na 0.0000 0.2501 0.4975
Na3 Na 0.5000 0.2484 0.7497
Na4 Na 0.5000 0.2503 0.2467
B1 B 0.0000 0.0000 0.3255
B2 B 0.0000 0.0000 0.6726
B3 B 0.0000 0.0000 0.8467
B4 B 0.0000 0.5000 0.1588
B5 B 0.0000 0.5000 0.3232
B6 B 0.0000 0.5000 0.6584
B7 B 0.0000 0.5000 0.8238
B8 B 0.5000 0.0000 0.0871
B9 B 0.5000 0.0000 0.5605
B10 B 0.5000 0.5000 0.4302
B11 B 0.5000 0.5000 0.9304
C1 C 0.0000 0.0000 0.1671
C2 C 0.5000 0.0000 0.4071
C3 C 0.5000 0.0000 0.9267
C4 C 0.5000 0.5000 0.0799
C5 C 0.5000 0.5000 0.5797
```

The 10 most intense peaks (10 to 90 degrees two-theta), sorted by position:
- d = 2.578 Å, 34.8°, intensity 12
- d = 2.462 Å, 36.5°, intensity 16
- d = 2.210 Å, 40.8°, intensity 49
- d = 2.147 Å, 42.1°, intensity 39
- d = 2.136 Å, 42.3°, intensity 100
- d = 1.618 Å, 56.9°, intensity 9
- d = 1.465 Å, 63.5°, intensity 17
- d = 1.238 Å, 77.1°, intensity 13
- d = 1.210 Å, 79.1°, intensity 17
- d = 1.183 Å, 81.3°, intensity 10



This entry pairs a crystal structure of MgCu2 with its simulated powder X-ray diffraction pattern. Radiation: λ = 1.5418 Å (Cu Kα). Structure: DFT lattice parameters and positions (PBE).

```
data_MgCu2
_chemical_formula_sum 'Mg8 Cu16'
_cell_length_a 3.8234
_cell_length_b 3.8234
_cell_length_c 23.2090
_cell_angle_alpha 90.00
_cell_angle_beta 90.00
_cell_angle_gamma 90.00
_space_group_name_H-M_alt 'I 41/a m d'
_space_group_IT_number 141
loop_
_space_group_symop_operation_xyz
'x,y,z'
'-x,-y,-z'
'-y+1/4,x+3/4,z+1/4'
'y+1/4,-x+3/4,-z+1/4'
'-x+1/2,-y,z+1/2'
'x+1/2,y,-z+1/2'
'y+1/4,-x+1/4,z+3/4'
'-y+1/4,x+1/4,-z+3/4'
'x,-y,-z'
'-x,y,z'
'-y+1/4,-x+1/4,-z+3/4'
'y+1/4,x+1/4,z+3/4'
'-x+1/2,y,-z+1/2'
'x+1/2,-y,z+1/2'
'y+1/4,x+3/4,-z+1/4'
'-y+1/4,-x+3/4,z+1/4'
'x+1/2,y+1/2,z+1/2'
'-x+1/2,-y+1/2,-z+1/2'
'-y+3/4,x+1/4,z+3/4'
'y+3/4,-x+1/4,-z+3/4'
'-x,-y+1/2,z'
'x,y+1/2,-z'
'y+3/4,-x+3/4,z+1/4'
'-y+3/4,x+3/4,-z+1/4'
'x+1/2,-y+1/2,-z+1/2'
'-x+1/2,y+1/2,z+1/2'
'-y+3/4,-x+3/4,-z+1/4'
'y+3/4,x+3/4,z+1/4'
'-x,y+1/2,-z'
'x,-y+1/2,z'
'y+3/4,x+1/4,-z+3/4'
'-y+3/4,-x+1/4,z+3/4'
loop_
_atom_site_label
_atom_site_type_symbol
_atom_site_fract_x
_atom_site_fract_y
_atom_site_fract_z
Mg1 Mg 0.0000 0.2500 0.2958
Cu1 Cu 0.0000 0.2500 0.1256
Cu2 Cu 0.0000 0.2500 0.7949
```

The 10 most intense peaks (10 to 90 degrees two-theta), sorted by position:
- d = 5.802 Å, 15.3°, intensity 9
- d = 3.773 Å, 23.6°, intensity 11
- d = 2.216 Å, 40.7°, intensity 100
- d = 1.934 Å, 47.0°, intensity 16
- d = 1.912 Å, 47.6°, intensity 32
- d = 1.360 Å, 69.1°, intensity 18
- d = 1.352 Å, 69.5°, intensity 9
- d = 1.164 Å, 83.0°, intensity 10
- d = 1.154 Å, 83.8°, intensity 21
- d = 1.108 Å, 88.2°, intensity 9



This entry pairs a crystal structure of CuIr2S4 with its simulated powder X-ray diffraction pattern. Radiation: λ = 1.5418 Å (Cu Kα). Structure: DFT lattice parameters and positions (PBE).

Cell: 9.9303 9.9303 9.9303 Å, 90.00 90.00 90.00°
Space group Fd-3m (No. 227, origin choice 2)
Asymmetric unit:
Cu: 0.1250 0.1250 0.1250 (multiplicity 8)
Ir: 0.0000 0.0000 0.5000 (multiplicity 16)
S: 0.0105 0.0105 0.7395 (multiplicity 32)

The 10 most intense peaks (10 to 90 degrees two-theta), sorted by position:
- d = 5.733 Å, 15.5°, intensity 69
- d = 2.994 Å, 29.8°, intensity 100
- d = 2.867 Å, 31.2°, intensity 33
- d = 2.483 Å, 36.2°, intensity 52
- d = 1.911 Å, 47.6°, intensity 43
- d = 1.755 Å, 52.1°, intensity 62
- d = 1.679 Å, 54.7°, intensity 16
- d = 1.497 Å, 62.0°, intensity 17
- d = 1.293 Å, 73.2°, intensity 21
- d = 1.110 Å, 88.0°, intensity 16



This entry pairs a crystal structure of LaTb2Dy2Er2 with its simulated powder X-ray diffraction pattern. Radiation: λ = 1.5418 Å (Cu Kα). Structure: DFT lattice parameters and positions (PBE).

```
data_LaTb2Dy2Er2
_chemical_formula_sum 'La2 Tb4 Dy4 Er4'
_cell_length_a 17.6338
_cell_length_b 3.4976
_cell_length_c 8.3809
_cell_angle_alpha 90.00
_cell_angle_beta 116.58
_cell_angle_gamma 90.00
_space_group_name_H-M_alt 'C 1 2/m 1'
_space_group_IT_number 12
loop_
_space_group_symop_operation_xyz
'x,y,z'
'-x,-y,-z'
'-x,y,-z'
'x,-y,z'
'x+1/2,y+1/2,z'
'-x+1/2,-y+1/2,-z'
'-x+1/2,y+1/2,-z'
'x+1/2,-y+1/2,z'
loop_
_atom_site_label
_atom_site_type_symbol
_atom_site_fract_x
_atom_site_fract_y
_atom_site_fract_z
La1 La 0.0000 0.0000 0.0000
Tb1 Tb 0.1496 0.5000 0.8893
Dy1 Dy 0.0719 0.5000 0.4110
Er1 Er 0.2121 0.0000 0.2989
```

The 10 most intense peaks (10 to 90 degrees two-theta), sorted by position:
- d = 3.228 Å, 27.6°, intensity 42
- d = 2.919 Å, 30.6°, intensity 100
- d = 2.735 Å, 32.7°, intensity 39
- d = 2.638 Å, 34.0°, intensity 49
- d = 2.512 Å, 35.7°, intensity 40
- d = 2.342 Å, 38.4°, intensity 20
- d = 1.714 Å, 53.5°, intensity 19
- d = 1.659 Å, 55.4°, intensity 13
- d = 1.500 Å, 61.8°, intensity 27
- d = 1.481 Å, 62.7°, intensity 13



This entry pairs a crystal structure of Rb2Cd7Pb with its simulated powder X-ray diffraction pattern. Radiation: λ = 1.5418 Å (Cu Kα). Structure: DFT lattice parameters and positions (PBE).

```
data_Rb2Cd7Pb
_chemical_formula_sum 'Rb2 Cd7 Pb1'
_cell_length_a 4.9822
_cell_length_b 4.9822
_cell_length_c 12.7607
_cell_angle_alpha 90.00
_cell_angle_beta 90.00
_cell_angle_gamma 90.00
_space_group_name_H-M_alt 'P -4 m 2'
_space_group_IT_number 115
loop_
_space_group_symop_operation_xyz
'x,y,z'
'y,-x,-z'
'-x,-y,z'
'-y,x,-z'
'-x,y,z'
'-y,-x,-z'
'x,-y,z'
'y,x,-z'
loop_
_atom_site_label
_atom_site_type_symbol
_atom_site_fract_x
_atom_site_fract_y
_atom_site_fract_z
Rb1 Rb 0.0000 0.5000 0.2493
Cd1 Cd 0.0000 0.0000 0.0000
Cd2 Cd 0.0000 0.5000 0.6403
Cd3 Cd 0.0000 0.5000 0.8682
Cd4 Cd 0.5000 0.5000 0.0000
Cd5 Cd 0.5000 0.5000 0.5000
Pb1 Pb 0.0000 0.0000 0.5000
```

The 10 most intense peaks (10 to 90 degrees two-theta), sorted by position:
- d = 6.380 Å, 13.9°, intensity 22
- d = 3.235 Å, 27.6°, intensity 34
- d = 3.084 Å, 29.0°, intensity 100
- d = 2.491 Å, 36.1°, intensity 63
- d = 2.365 Å, 38.1°, intensity 52
- d = 2.271 Å, 39.7°, intensity 24
- d = 1.761 Å, 51.9°, intensity 22
- d = 1.678 Å, 54.7°, intensity 18
- d = 1.530 Å, 60.5°, intensity 24
- d = 1.413 Å, 66.2°, intensity 20



This entry pairs a crystal structure of Na5Cd4Pb with its simulated powder X-ray diffraction pattern. Radiation: λ = 1.5418 Å (Cu Kα). Structure: DFT lattice parameters and positions (PBE).

```
data_Na5Cd4Pb
_chemical_formula_sum 'Na15 Cd12 Pb3'
_cell_length_a 5.2838
_cell_length_b 5.2838
_cell_length_c 33.0531
_cell_angle_alpha 90.00
_cell_angle_beta 90.00
_cell_angle_gamma 120.00
_space_group_name_H-M_alt 'R 3 m'
_space_group_IT_number 160
_space_group_name_Hall 'R 3 -2"'
loop_
_atom_site_label
_atom_site_type_symbol
_atom_site_fract_x
_atom_site_fract_y
_atom_site_fract_z
Na1 Na 0.0000 0.0000 0.0000
Na2 Na 0.0000 0.0000 0.0969
Na3 Na 0.0000 0.0000 0.1961
Na4 Na 0.0000 0.0000 0.6048
Na5 Na 0.0000 0.0000 0.8969
Cd1 Cd 0.0000 0.0000 0.2966
Cd2 Cd 0.0000 0.0000 0.3881
Cd3 Cd 0.0000 0.0000 0.7077
Cd4 Cd 0.0000 0.0000 0.7995
Pb1 Pb 0.0000 0.0000 0.4894
```

The 10 most intense peaks (10 to 90 degrees two-theta), sorted by position:
- d = 4.533 Å, 19.6°, intensity 44
- d = 4.410 Å, 20.1°, intensity 19
- d = 4.003 Å, 22.2°, intensity 17
- d = 3.673 Å, 24.2°, intensity 19
- d = 2.679 Å, 33.4°, intensity 87
- d = 2.642 Å, 33.9°, intensity 100
- d = 2.145 Å, 42.1°, intensity 27
- d = 1.881 Å, 48.4°, intensity 33
- d = 1.532 Å, 60.4°, intensity 31
- d = 1.525 Å, 60.7°, intensity 18



This entry pairs a crystal structure of HW8 with its simulated powder X-ray diffraction pattern. Radiation: λ = 1.5418 Å (Cu Kα). Structure: DFT lattice parameters and positions (PBE).

```
data_HW8
_chemical_formula_sum 'H1 W8'
_cell_length_a 5.6038
_cell_length_b 5.6038
_cell_length_c 4.9171
_cell_angle_alpha 90.00
_cell_angle_beta 90.00
_cell_angle_gamma 120.00
_space_group_name_H-M_alt 'P -3 m 1'
_space_group_IT_number 164
_space_group_name_Hall '-P 3 2"'
loop_
_atom_site_label
_atom_site_type_symbol
_atom_site_fract_x
_atom_site_fract_y
_atom_site_fract_z
H1 H 0.0000 0.0000 0.0000
W1 W 0.1688 0.3376 0.7453
W2 W 0.3333 0.6667 0.2440
```

The 10 most intense peaks (10 to 90 degrees two-theta), sorted by position:
- d = 2.459 Å, 36.5°, intensity 31
- d = 2.426 Å, 37.0°, intensity 23
- d = 2.176 Å, 41.5°, intensity 100
- d = 1.727 Å, 53.0°, intensity 17
- d = 1.401 Å, 66.8°, intensity 17
- d = 1.358 Å, 69.2°, intensity 22
- d = 1.229 Å, 77.7°, intensity 4
- d = 1.217 Å, 78.6°, intensity 21
- d = 1.178 Å, 81.8°, intensity 14
- d = 1.097 Å, 89.3°, intensity 4



This entry pairs a crystal structure of Ce2Zn4Ag3 with its simulated powder X-ray diffraction pattern. Radiation: λ = 1.5418 Å (Cu Kα). Structure: DFT lattice parameters and positions (PBE).

```
data_Ce2Zn4Ag3
_chemical_formula_sum 'Ce8 Zn16 Ag12'
_cell_length_a 6.0124
_cell_length_b 15.5669
_cell_length_c 7.8656
_cell_angle_alpha 90.00
_cell_angle_beta 90.00
_cell_angle_gamma 90.00
_space_group_name_H-M_alt 'C m c e'
_space_group_IT_number 64
_space_group_name_Hall '-C 2ac 2'
loop_
_atom_site_label
_atom_site_type_symbol
_atom_site_fract_x
_atom_site_fract_y
_atom_site_fract_z
Ce1 Ce 0.0000 0.1139 0.0829
Zn1 Zn 0.0000 0.1764 0.4763
Zn2 Zn 0.2500 0.0524 0.7500
Ag1 Ag 0.0000 0.0000 0.5000
Ag2 Ag 0.2500 0.2244 0.7500
```

The 10 most intense peaks (10 to 90 degrees two-theta), sorted by position:
- d = 3.512 Å, 25.4°, intensity 22
- d = 2.779 Å, 32.2°, intensity 23
- d = 2.641 Å, 33.9°, intensity 45
- d = 2.608 Å, 34.4°, intensity 85
- d = 2.485 Å, 36.2°, intensity 46
- d = 2.464 Å, 36.5°, intensity 36
- d = 2.388 Å, 37.7°, intensity 100
- d = 2.378 Å, 37.8°, intensity 39
- d = 1.647 Å, 55.8°, intensity 25
- d = 1.572 Å, 58.7°, intensity 28



This entry pairs a crystal structure of LiIn3Pd3 with its simulated powder X-ray diffraction pattern. Radiation: λ = 1.5418 Å (Cu Kα). Structure: DFT lattice parameters and positions (PBE).

```
data_LiIn3Pd3
_chemical_formula_sum 'Li3 In9 Pd9'
_cell_length_a 9.1287
_cell_length_b 9.1287
_cell_length_c 5.5554
_cell_angle_alpha 90.00
_cell_angle_beta 90.00
_cell_angle_gamma 120.00
_space_group_name_H-M_alt 'R 3 m'
_space_group_IT_number 160
_space_group_name_Hall 'R 3 -2"'
loop_
_atom_site_label
_atom_site_type_symbol
_atom_site_fract_x
_atom_site_fract_y
_atom_site_fract_z
Li1 Li 0.0000 0.0000 0.0000
In1 In 0.9999 0.4999 0.9989
Pd1 Pd 0.0001 0.5000 0.4990
```

The 10 most intense peaks (10 to 90 degrees two-theta), sorted by position:
- d = 4.564 Å, 19.4°, intensity 65
- d = 2.635 Å, 34.0°, intensity 16
- d = 2.621 Å, 34.2°, intensity 16
- d = 2.282 Å, 39.5°, intensity 100
- d = 2.273 Å, 39.7°, intensity 99
- d = 2.034 Å, 44.5°, intensity 15
- d = 1.610 Å, 57.2°, intensity 33
- d = 1.318 Å, 71.6°, intensity 17
- d = 1.316 Å, 71.7°, intensity 33
- d = 1.310 Å, 72.1°, intensity 16